[1]
Structure and computed XRD peak list of SmAlGaAu2 (the PBE geometry in OQMD; Cu Kα (λ = 1.5418 Å)).
No peak broadening, texture or thermal motion is included.

a = 4.4110 Å, b = 4.4110 Å, c = 10.4912 Å
α = 90.00°, β = 90.00°, γ = 90.00°
Atoms (fractional coordinates):
Sm 0.2500 0.2500 0.2480
Sm 0.7500 0.7500 0.7520
Al 0.2500 0.2500 0.6285
Al 0.7500 0.7500 0.3715
Ga 0.2500 0.7500 0.0000
Ga 0.7500 0.2500 0.0000
Au 0.2500 0.2500 0.8640
Au 0.2500 0.7500 0.5000
Au 0.7500 0.2500 0.5000
Au 0.7500 0.7500 0.1360

Top 10 peaks for 2θ = 10–90°, by angle:
d [Å]  I (rel.)
3.376  24
2.990  37
2.740  40
2.681  100
2.206  60
2.007  25
1.895  22
1.718  20
1.560  20
1.348  24

***

[2]
Structure and computed XRD peak list of Li2CdSiO4 (the PBE geometry in OQMD; Cu Kα (λ = 1.5418 Å)).
No peak broadening, texture or thermal motion is included.

a = 10.6467 Å, b = 6.5047 Å, c = 5.1003 Å
α = 90.00°, β = 90.00°, γ = 90.00°
Atoms (fractional coordinates):
Li 0.0891 0.0007 0.1712
Li 0.0891 0.4993 0.1712
Li 0.4109 0.5007 0.6712
Li 0.4109 0.9993 0.6712
Li 0.5891 0.0007 0.3288
Li 0.5891 0.4993 0.3288
Li 0.9109 0.5007 0.8288
Li 0.9109 0.9993 0.8288
Cd 0.1594 0.2500 0.6702
Cd 0.3406 0.7500 0.1702
Cd 0.6594 0.2500 0.8298
Cd 0.8406 0.7500 0.3298
Si 0.1571 0.7500 0.6638
Si 0.3429 0.2500 0.1638
Si 0.6571 0.7500 0.8362
Si 0.8429 0.2500 0.3362
O 0.0879 0.5472 0.7900
O 0.0879 0.9528 0.7900
O 0.1442 0.7500 0.3423
O 0.1911 0.2500 0.2377
O 0.3089 0.7500 0.7377
O 0.3558 0.2500 0.8423
O 0.4121 0.0472 0.2900
O 0.4121 0.4528 0.2900
O 0.5879 0.5472 0.7100
O 0.5879 0.9528 0.7100
O 0.6442 0.7500 0.1577
O 0.6911 0.2500 0.2623
O 0.8089 0.7500 0.7623
O 0.8558 0.2500 0.6577
O 0.9121 0.0472 0.2100
O 0.9121 0.4528 0.2100

Top 10 peaks for 2θ = 10–90°, by angle:
d [Å]  I (rel.)
5.323  31
4.120  40
4.014  38
3.683  100
3.252  58
2.775  34
2.659  50
2.438  29
2.170  29
1.973  46

***

[3]
Structure and computed XRD peak list of SmYS2I2 (the PBE geometry in OQMD; Cu Kα (λ = 1.5418 Å)).
No peak broadening, texture or thermal motion is included.

a = 4.2479 Å, b = 5.4334 Å, c = 9.6104 Å
α = 90.00°, β = 90.00°, γ = 90.00°
Atoms (fractional coordinates):
Sm 0.0000 0.0000 0.0000
Y 0.5000 0.5000 0.7616
S 0.0000 0.5000 0.9439
S 0.5000 0.0000 0.8094
I 0.0000 0.5000 0.5319
I 0.5000 0.0000 0.2369

Top 10 peaks for 2θ = 10–90°, by angle:
d [Å]  I (rel.)
4.730  100
3.183  93
3.160  46
2.717  33
2.403  16
2.314  44
2.124  16
2.066  54
1.938  18
1.673  15

***

[4]
Structure and computed XRD peak list of Sr2Hf (the PBE geometry in OQMD; Cu Kα (λ = 1.5418 Å)).
No peak broadening, texture or thermal motion is included.

a = 6.8396 Å, b = 6.8396 Å, c = 6.8396 Å
α = 60.00°, β = 60.00°, γ = 60.00°
Atoms (fractional coordinates):
Sr 0.0000 0.0000 0.0000
Sr 0.0000 0.0000 0.5000
Sr 0.0000 0.5000 0.0000
Sr 0.5000 0.0000 0.0000
Hf 0.3750 0.3750 0.3750
Hf 0.6250 0.6250 0.6250

Top 10 peaks for 2θ = 10–90°, by angle:
d [Å]  I (rel.)
3.420  51
2.916  100
2.792  21
1.974  23
1.861  36
1.710  28
1.475  13
1.293  11
1.259  23
1.117  13

***

[5]
Structure and computed XRD peak list of Cs2PdI2Cl2 (the PBE geometry in OQMD; Cu Kα (λ = 1.5418 Å)).
No peak broadening, texture or thermal motion is included.

a = 4.9164 Å, b = 7.9384 Å, c = 7.9579 Å
α = 90.00°, β = 90.00°, γ = 90.00°
Atoms (fractional coordinates):
Cs 0.0000 0.0000 0.0000
Cs 0.0000 0.5000 0.4011
Pd 0.5000 0.5000 0.9475
I 0.5000 0.2667 0.7153
I 0.5000 0.7333 0.7153
Cl 0.5000 0.2867 0.1605
Cl 0.5000 0.7133 0.1605

Top 10 peaks for 2θ = 10–90°, by angle:
d [Å]  I (rel.)
7.950  62
4.182  58
3.700  100
3.553  34
3.090  92
2.810  70
2.458  30
2.237  33
2.012  39
1.850  40

***

[6]
Structure and computed XRD peak list of TbGd2Cu4Ge4 (the PBE geometry in OQMD; Cu Kα (λ = 1.5418 Å)).
No peak broadening, texture or thermal motion is included.

a = 8.0439 Å, b = 8.0439 Å, c = 8.0439 Å
α = 149.52°, β = 131.01°, γ = 58.80°
Atoms (fractional coordinates):
Tb 0.0000 0.0000 0.0000
Gd 0.3692 0.8692 0.5000
Gd 0.6308 0.1308 0.5000
Cu 0.0204 0.3310 0.6894
Cu 0.3584 0.6690 0.6894
Cu 0.6416 0.3310 0.3106
Cu 0.9796 0.6690 0.3106
Ge 0.2159 0.2159 0.0000
Ge 0.3085 0.5000 0.8085
Ge 0.6915 0.5000 0.1915
Ge 0.7841 0.7841 0.0000

Top 10 peaks for 2θ = 10–90°, by angle:
d [Å]  I (rel.)
2.584  27
2.574  92
2.501  100
2.336  21
2.114  38
2.008  29
1.636  14
1.591  13
1.456  20
1.196  15

***

[7]
Structure and computed XRD peak list of InFe2Sb (the PBE geometry in OQMD; Cu Kα (λ = 1.5418 Å)).
No peak broadening, texture or thermal motion is included.

a = 6.2538 Å, b = 6.2538 Å, c = 6.2538 Å
α = 90.00°, β = 90.00°, γ = 90.00°
Atoms (fractional coordinates):
In 0.0000 0.0000 0.0000
In 0.0000 0.0000 0.5000
In 0.0000 0.5000 0.0000
In 0.5000 0.0000 0.0000
Fe 0.2593 0.2593 0.2593
Fe 0.2593 0.2593 0.7407
Fe 0.2593 0.7407 0.2593
Fe 0.2593 0.7407 0.7407
Fe 0.7407 0.2593 0.2593
Fe 0.7407 0.2593 0.7407
Fe 0.7407 0.7407 0.2593
Fe 0.7407 0.7407 0.7407
Sb 0.0000 0.5000 0.5000
Sb 0.5000 0.0000 0.5000
Sb 0.5000 0.5000 0.0000
Sb 0.5000 0.5000 0.5000

Top 7 peaks for 2θ = 10–90°, by angle:
d [Å]  I (rel.)
3.127  15
2.211  100
1.805  4
1.563  16
1.398  6
1.277  31
1.106  10

***

[8]
Structure and computed XRD peak list of CdCo2Ge2 (the PBE geometry in OQMD; Cu Kα (λ = 1.5418 Å)).
No peak broadening, texture or thermal motion is included.

a = 5.1848 Å, b = 3.8254 Å, c = 7.5712 Å
α = 90.00°, β = 90.00°, γ = 90.00°
Atoms (fractional coordinates):
Cd 0.0000 0.0000 0.0000
Cd 0.5000 0.0000 0.0000
Co 0.0000 0.5000 0.5000
Co 0.2500 0.5000 0.2096
Co 0.5000 0.5000 0.5000
Co 0.7500 0.5000 0.7904
Ge 0.2500 0.0000 0.3980
Ge 0.2500 0.5000 0.7652
Ge 0.7500 0.0000 0.6020
Ge 0.7500 0.5000 0.2348

Top 10 peaks for 2θ = 10–90°, by angle:
d [Å]  I (rel.)
3.414  27
2.852  13
2.691  66
2.388  18
2.139  66
2.107  56
2.065  100
1.913  44
1.426  36
1.420  21

***

[9]
Structure and computed XRD peak list of PmIO (the PBE geometry in OQMD; Cu Kα (λ = 1.5418 Å)).
No peak broadening, texture or thermal motion is included.

a = 7.2961 Å, b = 13.6133 Å, c = 13.0616 Å
α = 90.00°, β = 90.00°, γ = 90.00°
Atoms (fractional coordinates):
Pm 0.1202 0.1742 0.1824
Pm 0.1202 0.3258 0.6824
Pm 0.1886 0.0019 0.9118
Pm 0.1886 0.4981 0.4118
Pm 0.3114 0.5019 0.9118
Pm 0.3114 0.9981 0.4118
Pm 0.3798 0.6742 0.1824
Pm 0.3798 0.8258 0.6824
Pm 0.6202 0.1742 0.3176
Pm 0.6202 0.3258 0.8176
Pm 0.6886 0.0019 0.5882
Pm 0.6886 0.4981 0.0882
Pm 0.8114 0.5019 0.5882
Pm 0.8114 0.9981 0.0882
Pm 0.8798 0.6742 0.3176
Pm 0.8798 0.8258 0.8176
I 0.0180 0.1582 0.4868
I 0.0180 0.3418 0.9868
I 0.1079 0.6318 0.7191
I 0.1079 0.8682 0.2191
I 0.3921 0.1318 0.7191
I 0.3921 0.3682 0.2191
I 0.4820 0.6582 0.4868
I 0.4820 0.8418 0.9868
I 0.5180 0.1582 0.0132
I 0.5180 0.3418 0.5132
I 0.6079 0.6318 0.7809
I 0.6079 0.8682 0.2809
I 0.8921 0.1318 0.7809
I 0.8921 0.3682 0.2809
I 0.9820 0.6582 0.0132
I 0.9820 0.8418 0.5132
O 0.0682 0.0782 0.0509
O 0.0682 0.4218 0.5509
O 0.1572 0.6092 0.2783
O 0.1572 0.8908 0.7783
O 0.3428 0.1092 0.2783
O 0.3428 0.3908 0.7783
O 0.4318 0.5782 0.0509
O 0.4318 0.9218 0.5509
O 0.5682 0.0782 0.4491
O 0.5682 0.4218 0.9491
O 0.6572 0.6092 0.2217
O 0.6572 0.8908 0.7217
O 0.8428 0.1092 0.2217
O 0.8428 0.3908 0.7217
O 0.9318 0.5782 0.4491
O 0.9318 0.9218 0.9491

Top 10 peaks for 2θ = 10–90°, by angle:
d [Å]  I (rel.)
3.959  82
3.696  32
3.605  54
2.981  46
2.885  100
2.789  36
2.778  91
2.739  32
2.356  57
1.658  45

***

[10]
Structure and computed XRD peak list of Cu7Ag3 (the PBE geometry in OQMD; Cu Kα (λ = 1.5418 Å)).
No peak broadening, texture or thermal motion is included.

a = 3.8521 Å, b = 9.4219 Å, c = 9.4219 Å
α = 23.59°, β = 90.00°, γ = 90.00°
Atoms (fractional coordinates):
Cu 0.0000 0.0000 0.0000
Cu 0.0000 0.1884 0.1884
Cu 0.0000 0.4021 0.4021
Cu 0.0000 0.6001 0.6001
Cu 0.5000 0.1001 0.1001
Cu 0.5000 0.6884 0.6884
Cu 0.5000 0.9020 0.9020
Ag 0.0000 0.7954 0.7954
Ag 0.5000 0.2956 0.2956
Ag 0.5000 0.5008 0.5008

Top 10 peaks for 2θ = 10–90°, by angle:
d [Å]  I (rel.)
2.694  4
2.490  2
2.191  100
1.926  34
1.845  13
1.362  10
1.332  17
1.157  23
1.121  9
1.096  9

***

[11]
Structure and computed XRD peak list of Cu4Ag (the PBE geometry in OQMD; Cu Kα (λ = 1.5418 Å)).
No peak broadening, texture or thermal motion is included.

a = 7.0049 Å, b = 7.0049 Å, c = 4.5812 Å
α = 96.21°, β = 96.21°, γ = 141.99°
Atoms (fractional coordinates):
Cu 0.0540 0.9460 0.7500
Cu 0.1543 0.8457 0.2500
Cu 0.2443 0.7557 0.7500
Cu 0.3419 0.6581 0.2500
Cu 0.6581 0.3419 0.7500
Cu 0.7557 0.2443 0.2500
Cu 0.8457 0.1543 0.7500
Cu 0.9460 0.0540 0.2500
Ag 0.4445 0.5555 0.7500
Ag 0.5555 0.4445 0.2500

Top 10 peaks for 2θ = 10–90°, by angle:
d [Å]  I (rel.)
2.160  100
2.152  34
1.871  41
1.866  21
1.324  18
1.321  7
1.319  12
1.129  7
1.128  14
1.126  14

***

[12]
Structure and computed XRD peak list of K2CuS2 (the PBE geometry in OQMD; Cu Kα (λ = 1.5418 Å)).
No peak broadening, texture or thermal motion is included.

a = 11.3769 Å, b = 3.5708 Å, c = 6.4341 Å
α = 90.00°, β = 103.33°, γ = 90.00°
Atoms (fractional coordinates):
K 0.1614 0.0000 0.2107
K 0.3386 0.5000 0.7893
K 0.6614 0.5000 0.2107
K 0.8386 0.0000 0.7893
Cu 0.0000 0.5000 0.5000
Cu 0.5000 0.0000 0.5000
S 0.1046 0.0000 0.7018
S 0.3954 0.5000 0.2982
S 0.6046 0.5000 0.7018
S 0.8954 0.0000 0.2982

Top 10 peaks for 2θ = 10–90°, by angle:
d [Å]  I (rel.)
6.261  72
5.535  28
4.722  45
3.741  38
3.080  46
3.042  66
2.779  51
2.566  100
2.361  27
2.225  87